BaMgNiO3: theoretical powder XRD pattern (a wavelength of 1.5418 Å), based on a crystal structure in the Materials Project, relaxed with PBE+U.

The 10 most intense peaks (2θ from 5° to 70°), by angle:
two_theta	I_rel	(hkl)
22.89	16	1 0 0
26.20	83	0 0 2
26.42	100	1 0 1
32.60	52	1 1 0
35.23	16	1 1 1
42.29	51	1 1 2
46.36	22	1 0 3
46.77	32	2 0 0
54.39	39	2 0 2
54.51	27	2 1 1

Structure:
```
6
Lattice="3.885 0.000 0.000 0.000 3.885 0.000 0.000 0.000 6.803" Properties=species:S:1:pos:R:3 pbc="T T T"
Ba 0.000 0.000 0.000
Mg 0.000 0.000 3.413
Ni 1.942 1.942 3.391
O 0.000 1.942 3.423
O 1.942 0.000 3.423
O 1.942 1.942 0.036
```